(1)
This entry pairs a crystal structure of LiNi4P2 with its theoretical PXRD pattern. Radiation: CuKα. Structure: a PBE-relaxed structure.

Main lines, low angle first (5 to 70 degrees two-theta):
2θ = 18.16°, intensity 100; 2θ = 38.82°, intensity 67; 2θ = 41.33°, intensity 26; 2θ = 45.22°, intensity 53; 2θ = 49.11°, intensity 70; 2θ = 52.06°, intensity 29

a = 6.8993 Å, b = 6.9163 Å, c = 3.5136 Å
α = 90.00°, β = 90.00°, γ = 90.00°
Sites, in units of the cell vectors:
Li 0.0000 0.0000 0.0000
Li 0.5000 0.5000 0.5000
Ni 0.0753 0.3281 0.5000
Ni 0.1724 0.5747 0.0000
Ni 0.3276 0.0747 0.5000
Ni 0.4247 0.8281 0.0000
Ni 0.5753 0.1719 0.0000
Ni 0.6724 0.9253 0.5000
Ni 0.8276 0.4253 0.0000
Ni 0.9247 0.6719 0.5000
P 0.2339 0.7657 0.5000
P 0.2661 0.2657 0.0000
P 0.7339 0.7343 0.0000
P 0.7661 0.2343 0.5000


(2)
This entry pairs a crystal structure of K2AgAuSe2 with its theoretical PXRD pattern. Radiation: CuKα. Structure: a PBE-relaxed structure.

Main lines, low angle first (5 to 70 degrees two-theta):
2θ = 18.46°, intensity 71; 2θ = 24.48°, intensity 27; 2θ = 29.36°, intensity 100; 2θ = 39.74°, intensity 63; 2θ = 44.15°, intensity 57; 2θ = 55.72°, intensity 45

a = 4.5367 Å, b = 4.5367 Å, c = 9.6129 Å
α = 90.00°, β = 90.00°, γ = 120.00°
Sites, in units of the cell vectors:
K 0.0000 0.0000 0.2494
K 0.0000 0.0000 0.7506
Ag 0.3333 0.6667 0.0000
Au 0.6667 0.3333 0.5000
Se 0.3333 0.6667 0.5000
Se 0.6667 0.3333 0.0000


(3)
This entry pairs a crystal structure of NbHg with its theoretical PXRD pattern. Radiation: CuKα. Structure: a PBE-relaxed structure.

Main lines, low angle first (5 to 70 degrees two-theta):
2θ = 17.64°, intensity 17; 2θ = 34.48°, intensity 31; 2θ = 35.72°, intensity 27; 2θ = 38.99°, intensity 100; 2θ = 50.49°, intensity 21; 2θ = 66.36°, intensity 21

a = 3.0034 Å, b = 3.0034 Å, c = 5.0271 Å
α = 90.00°, β = 90.00°, γ = 120.00°
Sites, in units of the cell vectors:
Nb 0.0000 0.0000 0.0000
Hg 0.3333 0.6667 0.5000


(4)
This entry pairs a crystal structure of Er8Fe with its theoretical PXRD pattern. Radiation: CuKα. Structure: a PBE-relaxed structure.

Main lines, low angle first (5 to 70 degrees two-theta):
2θ = 30.57°, intensity 65; 2θ = 31.90°, intensity 100; 2θ = 33.99°, intensity 42; 2θ = 34.79°, intensity 48; 2θ = 39.69°, intensity 36; 2θ = 60.56°, intensity 25

a = 8.9337 Å, b = 8.9337 Å, c = 3.6051 Å
α = 90.00°, β = 90.00°, γ = 120.00°
Sites, in units of the cell vectors:
Er 0.0000 0.2370 0.0000
Er 0.0000 0.6233 0.5000
Er 0.2370 0.0000 0.0000
Er 0.3333 0.6667 0.0000
Er 0.3767 0.3767 0.5000
Er 0.6233 0.0000 0.5000
Er 0.6667 0.3333 0.0000
Er 0.7630 0.7630 0.0000
Fe 0.0000 0.0000 0.5000


(5)
This entry pairs a crystal structure of BPtO with its theoretical PXRD pattern. Radiation: CuKα. Structure: a PBE-relaxed structure.

Main lines, low angle first (5 to 70 degrees two-theta):
2θ = 26.27°, intensity 100; 2θ = 35.35°, intensity 34; 2θ = 36.81°, intensity 43; 2θ = 37.85°, intensity 57; 2θ = 52.76°, intensity 40; 2θ = 55.12°, intensity 27

a = 2.7851 Å, b = 4.5592 Å, c = 5.0776 Å
α = 90.00°, β = 90.00°, γ = 90.00°
Sites, in units of the cell vectors:
B 0.0000 0.1405 0.0000
B 0.5000 0.8595 0.5000
Pt 0.0000 0.2125 0.5936
Pt 0.5000 0.7875 0.0936
O 0.0000 0.3734 0.1641
O 0.5000 0.6266 0.6641


(6)
This entry pairs a crystal structure of Hf2MgAlCo2Ir2 with its theoretical PXRD pattern. Radiation: CuKα. Structure: a PBE-relaxed structure.

Main lines, low angle first (5 to 70 degrees two-theta):
2θ = 24.74°, intensity 46; 2θ = 40.96°, intensity 100; 2θ = 48.44°, intensity 24; 2θ = 59.26°, intensity 11; 2θ = 59.42°, intensity 5; 2θ = 65.26°, intensity 10

a = 4.4103 Å, b = 4.4103 Å, c = 6.2223 Å
α = 90.00°, β = 90.00°, γ = 90.00°
Sites, in units of the cell vectors:
Hf 0.0000 0.0000 0.0000
Hf 0.5000 0.5000 0.5000
Mg 0.0000 0.0000 0.5000
Al 0.5000 0.5000 0.0000
Co 0.0000 0.5000 0.2433
Co 0.5000 0.0000 0.7567
Ir 0.0000 0.5000 0.7565
Ir 0.5000 0.0000 0.2435


(7)
This entry pairs a crystal structure of LuScSbC with its theoretical PXRD pattern. Radiation: CuKα. Structure: a PBE-relaxed structure.

Main lines, low angle first (5 to 70 degrees two-theta):
2θ = 12.12°, intensity 25; 2θ = 29.55°, intensity 23; 2θ = 34.94°, intensity 100; 2θ = 36.93°, intensity 18; 2θ = 52.43°, intensity 22; 2θ = 65.85°, intensity 20

a = 3.4905 Å, b = 3.4905 Å, c = 14.6049 Å
α = 90.00°, β = 90.00°, γ = 120.00°
Sites, in units of the cell vectors:
Lu 0.3333 0.6667 0.0000
Lu 0.6667 0.3333 0.5000
Sc 0.3333 0.6667 0.6691
Sc 0.6667 0.3333 0.1691
Sb 0.3333 0.6667 0.3306
Sb 0.6667 0.3333 0.8306
C 0.0000 0.0000 0.0880
C 0.0000 0.0000 0.5880


(8)
This entry pairs a crystal structure of GdSiHO4 with its theoretical PXRD pattern. Radiation: CuKα. Structure: a PBE-relaxed structure.

Main lines, low angle first (5 to 70 degrees two-theta):
2θ = 18.91°, intensity 84; 2θ = 19.18°, intensity 62; 2θ = 25.27°, intensity 100; 2θ = 26.08°, intensity 96; 2θ = 33.01°, intensity 80; 2θ = 34.67°, intensity 69

a = 7.1451 Å, b = 6.2908 Å, c = 6.9268 Å
α = 90.00°, β = 99.43°, γ = 90.00°
Sites, in units of the cell vectors:
Gd 0.2237 0.1373 0.4932
Gd 0.2237 0.3627 0.9932
Gd 0.7763 0.6373 0.0068
Gd 0.7763 0.8627 0.5068
Si 0.2487 0.6234 0.4840
Si 0.2487 0.8766 0.9840
Si 0.7513 0.1234 0.0160
Si 0.7513 0.3766 0.5160
H 0.3928 0.6299 0.8345
H 0.3928 0.8701 0.3345
H 0.6072 0.1299 0.6655
H 0.6072 0.3701 0.1655
O 0.0755 0.7088 0.9742
O 0.0755 0.7912 0.4742
O 0.2355 0.0535 0.8121
O 0.2355 0.4465 0.3121
O 0.2876 0.0179 0.1845
O 0.2876 0.4821 0.6845
O 0.4317 0.7069 0.9687
O 0.4317 0.7931 0.4687
O 0.5683 0.2069 0.5313
O 0.5683 0.2931 0.0313
O 0.7124 0.5179 0.3155
O 0.7124 0.9821 0.8155
O 0.7645 0.5535 0.6879
O 0.7645 0.9465 0.1879
O 0.9245 0.2088 0.5258
O 0.9245 0.2912 0.0258